Starting from a structure optimized by DFT (PBE), the powder X-ray diffraction pattern of Tb2UP3 was computed for Cu Kα.
Neutral-atom scattering factors, no anomalous dispersion.

Peak list (10 most intense, 2θ from 15° to 90°, most intense first)
two_theta	I_rel
31.7	100
27.4	95
45.4	74
53.8	31
56.5	26
75.2	23
83.9	17
53.9	16
73.1	13
75.4	11

Crystal structure
Unit cell a=8.9116 b=8.9116 c=8.9116 alpha=154.09 beta=154.09 gamma=36.98
Fractional positions:
Tb 0.1679 0.1679 0.0000
Tb 0.8321 0.8321 0.0000
U 0.5000 0.5000 0.0000
P 0.0000 0.0000 0.0000
P 0.3362 0.3362 0.0000
P 0.6638 0.6638 0.0000